1.
Starting from a structure optimized by DFT (PBE+U), the PXRD pattern of NpSc2CoO8 was simulated for λ = 1.5418 Å (Cu Kα).
Kinematic intensities with the Lorentz-polarization factor, no thermal factor.

Atomic structure:
```
data_NpSc2CoO8
_space_group_name_H-M_alt 'C m m m'
_space_group_IT_number 65
_space_group_name_Hall '-C 2 2'
_cell_length_a 6.671
_cell_length_b 6.940
_cell_length_c 6.263
_cell_angle_alpha 90.00
_cell_angle_beta 90.00
_cell_angle_gamma 90.00
loop_
_atom_site_label
_atom_site_fract_x
_atom_site_fract_y
_atom_site_fract_z
Np1 0.000 0.000 0.000
Sc1 0.000 0.500 0.270
Co1 0.000 0.000 0.500
O1 0.000 0.183 0.256
O2 0.199 0.500 0.000
O3 0.209 0.500 0.500
```

Peak list (10 most intense, 15 to 90 degrees two-theta, by angle)
hkl  Position (°2θ)  I (rel.)
1 1 0  18.45  88
1 1 1  23.32  72
0 2 0  25.67  79
2 0 0  26.73  67
1 1 2  34.17  100
2 2 0  37.40  28
0 2 2  38.73  32
1 3 2  50.95  50
3 1 2  52.14  43
3 3 2  65.39  39

***

2.
Starting from a structure optimized by DFT (PBE+U), the PXRD pattern of NpTiCoO6 was simulated for λ = 1.5418 Å (Cu Kα).
Kinematic intensities with the Lorentz-polarization factor, no thermal factor.

Atomic structure:
```
data_NpTiCoO6
_space_group_name_H-M_alt 'P -3 1 c'
_space_group_IT_number 163
_space_group_name_Hall '-P 3 2c'
_cell_length_a 5.3280
_cell_length_b 5.3280
_cell_length_c 8.8883
_cell_angle_alpha 90.00
_cell_angle_beta 90.00
_cell_angle_gamma 120.00
loop_
_atom_site_label
_atom_site_fract_x
_atom_site_fract_y
_atom_site_fract_z
Np1 0.3333 0.6667 0.2500
Ti1 0.3333 0.6667 0.7500
Co1 0.0000 0.0000 0.0000
O1 0.0126 0.3536 0.6327
```

Peak list (10 most intense, 15 to 90 degrees two-theta, by angle)
hkl  Position (°2θ)  I (rel.)
0 0 2  19.98  45
1 0 1  21.70  100
1 0 2  27.87  97
1 1 0  33.64  61
1 0 3  36.02  31
1 1 2  39.44  49
2 0 1  40.39  24
2 0 2  44.23  27
1 1 4  53.72  55
2 1 2  56.70  26

***

3.
Starting from a structure optimized by DFT (PBE+U), the PXRD pattern of NpVCoO6 was simulated for λ = 1.5418 Å (Cu Kα).
Kinematic intensities with the Lorentz-polarization factor, no thermal factor.

Atomic structure:
```
data_NpVCoO6
_space_group_name_H-M_alt 'P -3 1 c'
_space_group_IT_number 163
_space_group_name_Hall '-P 3 2c'
_cell_length_a 5.2992
_cell_length_b 5.2992
_cell_length_c 8.8614
_cell_angle_alpha 90.00
_cell_angle_beta 90.00
_cell_angle_gamma 120.00
loop_
_atom_site_label
_atom_site_fract_x
_atom_site_fract_y
_atom_site_fract_z
Np1 0.3333 0.6667 0.2500
V1 0.3333 0.6667 0.7500
Co1 0.0000 0.0000 0.0000
O1 0.0154 0.3540 0.6328
```

Peak list (10 most intense, 15 to 90 degrees two-theta, by angle)
hkl  Position (°2θ)  I (rel.)
0 0 2  20.04  47
1 0 1  21.81  98
1 0 2  27.99  100
1 1 0  33.83  63
1 0 3  36.16  31
1 1 2  39.63  50
2 0 1  40.61  24
2 0 2  44.46  28
1 1 4  53.92  78
2 1 2  57.02  26